# 1
Starting from a crystal structure in the Materials Project, relaxed with PBE, the powder diffractogram of Mg14BiW was simulated for Cu Kα (λ = 1.5418 Å).
Kinematic intensities with the Lorentz-polarization factor, no thermal factor.

Top 8 peaks for 2θ from 10° to 90°, most intense first:
| 2θ (°) | d [Å] | intensity |
| --- | --- | --- |
| 37.27 | 2.413 | 100 |
| 16.21 | 5.467 | 98 |
| 23.78 | 3.742 | 77 |
| 32.76 | 2.733 | 36 |
| 33.33 | 2.689 | 34 |
| 47.43 | 1.917 | 28 |
| 17.28 | 5.132 | 28 |
| 28.28 | 3.156 | 26 |

Structure:
Lattice parameters (Å, degrees): 6.3124 6.3124 10.2646 90.00 90.00 120.00
Atoms (fractional coordinates):
Mg 0.0000 0.0000 0.2487
Mg 0.0000 0.0000 0.7513
Mg 0.0092 0.5046 0.2343
Mg 0.0092 0.5046 0.7657
Mg 0.3307 0.1653 0.0000
Mg 0.3343 0.1671 0.5000
Mg 0.4954 0.5046 0.2343
Mg 0.4954 0.5046 0.7657
Mg 0.4954 0.9908 0.2343
Mg 0.4954 0.9908 0.7657
Mg 0.8329 0.1671 0.5000
Mg 0.8329 0.6657 0.5000
Mg 0.8347 0.1653 0.0000
Mg 0.8347 0.6693 0.0000
Bi 0.3333 0.6667 0.5000
W 0.3333 0.6667 0.0000

***

# 2
Starting from a crystal structure in the Materials Project, relaxed with PBE, the powder diffractogram of Mg14BiW was simulated for Cu Kα (λ = 1.5418 Å).
Kinematic intensities with the Lorentz-polarization factor, no thermal factor.

Top 8 peaks for 2θ from 10° to 90°, most intense first:
| 2θ (°) | d [Å] | intensity |
| --- | --- | --- |
| 37.22 | 2.416 | 100 |
| 18.47 | 4.803 | 71 |
| 37.45 | 2.401 | 50 |
| 16.28 | 5.445 | 48 |
| 17.40 | 5.097 | 40 |
| 23.91 | 3.721 | 39 |
| 35.21 | 2.549 | 36 |
| 32.64 | 2.744 | 36 |

Structure:
Lattice parameters (Å, degrees): 10.1944 6.3039 6.3039 60.51 90.00 90.00
Atoms (fractional coordinates):
Mg 0.0000 0.0000 0.0000
Mg 0.0000 0.0019 0.4975
Mg 0.0000 0.4975 0.0019
Mg 0.0000 0.4987 0.4987
Mg 0.2433 0.6688 0.6688
Mg 0.2541 0.1569 0.6788
Mg 0.2541 0.6788 0.1569
Mg 0.2574 0.1609 0.1609
Mg 0.5000 0.9997 0.4982
Mg 0.5000 0.4982 0.9997
Mg 0.7426 0.1609 0.1609
Mg 0.7459 0.1569 0.6788
Mg 0.7459 0.6788 0.1569
Mg 0.7567 0.6688 0.6688
Bi 0.5000 0.5037 0.5037
W 0.5000 0.9979 0.9979

***

# 3
Starting from a crystal structure in the Materials Project, relaxed with PBE, the powder diffractogram of Mg14ZnBi was simulated for Cu Kα (λ = 1.5418 Å).
Kinematic intensities with the Lorentz-polarization factor, no thermal factor.

Top 8 peaks for 2θ from 10° to 90°, most intense first:
| 2θ (°) | d [Å] | intensity |
| --- | --- | --- |
| 36.81 | 2.441 | 100 |
| 16.03 | 5.530 | 58 |
| 23.48 | 3.789 | 51 |
| 32.38 | 2.765 | 31 |
| 18.17 | 4.883 | 31 |
| 34.49 | 2.600 | 25 |
| 32.92 | 2.721 | 22 |
| 48.03 | 1.894 | 21 |

Structure:
Lattice parameters (Å, degrees): 6.3856 6.3856 10.4016 90.00 90.00 120.00
Atoms (fractional coordinates):
Mg 0.0000 0.0000 0.2493
Mg 0.0000 0.0000 0.7507
Mg 0.3320 0.1660 0.0000
Mg 0.3330 0.1665 0.5000
Mg 0.5015 0.0030 0.2406
Mg 0.5015 0.0030 0.7594
Mg 0.5015 0.4985 0.2406
Mg 0.5015 0.4985 0.7594
Mg 0.8335 0.1665 0.5000
Mg 0.8335 0.6670 0.5000
Mg 0.8340 0.1660 0.0000
Mg 0.8340 0.6680 0.0000
Mg 0.9970 0.4985 0.2406
Mg 0.9970 0.4985 0.7594
Zn 0.3333 0.6667 0.0000
Bi 0.3333 0.6667 0.5000

***

# 4
Starting from a crystal structure in the Materials Project, relaxed with PBE, the powder diffractogram of Mg14ZnBi was simulated for Cu Kα (λ = 1.5418 Å).
Kinematic intensities with the Lorentz-polarization factor, no thermal factor.

Top 8 peaks for 2θ from 10° to 90°, most intense first:
| 2θ (°) | d [Å] | intensity |
| --- | --- | --- |
| 36.56 | 2.458 | 100 |
| 37.28 | 2.412 | 47 |
| 18.39 | 4.823 | 43 |
| 34.61 | 2.592 | 37 |
| 32.06 | 2.792 | 31 |
| 18.04 | 4.916 | 31 |
| 16.27 | 5.449 | 28 |
| 17.11 | 5.183 | 25 |

Structure:
Lattice parameters (Å, degrees): 10.3660 6.3453 6.3453 61.64 90.00 90.00
Atoms (fractional coordinates):
Mg 0.0000 0.0000 0.0000
Mg 0.0000 0.0008 0.5005
Mg 0.0000 0.5000 0.5000
Mg 0.0000 0.5005 0.0008
Mg 0.2460 0.1692 0.1692
Mg 0.2496 0.1728 0.6620
Mg 0.2496 0.6620 0.1728
Mg 0.2513 0.6661 0.6661
Mg 0.5000 0.5001 0.9994
Mg 0.5000 0.9994 0.5001
Mg 0.7487 0.6661 0.6661
Mg 0.7504 0.1728 0.6620
Mg 0.7504 0.6620 0.1728
Mg 0.7540 0.1692 0.1692
Zn 0.5000 0.5022 0.5022
Bi 0.5000 0.0003 0.0003

***

# 5
Starting from a crystal structure in the Materials Project, relaxed with PBE, the powder diffractogram of Mg6ZrBi was simulated for Cu Kα (λ = 1.5418 Å).
Kinematic intensities with the Lorentz-polarization factor, no thermal factor.

Top 8 peaks for 2θ from 10° to 90°, most intense first:
| 2θ (°) | d [Å] | intensity |
| --- | --- | --- |
| 37.13 | 2.421 | 100 |
| 15.64 | 5.667 | 72 |
| 16.62 | 5.334 | 65 |
| 22.90 | 3.884 | 63 |
| 35.89 | 2.502 | 56 |
| 32.96 | 2.717 | 41 |
| 33.60 | 2.667 | 40 |
| 47.79 | 1.903 | 29 |

Structure:
Lattice parameters (Å, degrees): 5.3339 6.4579 6.4579 57.30 90.00 90.00
Atoms (fractional coordinates):
Mg 0.0000 0.0000 0.0000
Mg 0.0000 0.0015 0.4835
Mg 0.0000 0.4835 0.0015
Mg 0.0000 0.4928 0.4928
Mg 0.5000 0.3315 0.8265
Mg 0.5000 0.8265 0.3315
Zr 0.5000 0.3304 0.3304
Bi 0.5000 0.8296 0.8296

***

# 6
Starting from a crystal structure in the Materials Project, relaxed with PBE, the powder diffractogram of Mg14ZrBi was simulated for Cu Kα (λ = 1.5418 Å).
Kinematic intensities with the Lorentz-polarization factor, no thermal factor.

Top 8 peaks for 2θ from 10° to 90°, most intense first:
| 2θ (°) | d [Å] | intensity |
| --- | --- | --- |
| 36.82 | 2.441 | 100 |
| 36.40 | 2.468 | 52 |
| 17.97 | 4.937 | 52 |
| 34.47 | 2.602 | 38 |
| 15.80 | 5.608 | 34 |
| 32.39 | 2.764 | 33 |
| 17.04 | 5.205 | 30 |
| 23.32 | 3.815 | 29 |

Structure:
Lattice parameters (Å, degrees): 10.4090 6.4452 6.4452 59.07 90.00 90.00
Atoms (fractional coordinates):
Mg 0.0000 0.9997 0.9997
Mg 0.0000 0.9996 0.5000
Mg 0.0000 0.5000 0.9996
Mg 0.0000 0.5000 0.5000
Mg 0.2464 0.1684 0.1684
Mg 0.2463 0.1703 0.6608
Mg 0.2463 0.6608 0.1703
Mg 0.2504 0.6647 0.6647
Mg 0.5000 0.5017 0.9970
Mg 0.5000 0.9970 0.5017
Mg 0.7496 0.6647 0.6647
Mg 0.7536 0.1684 0.1684
Mg 0.7537 0.1703 0.6608
Mg 0.7537 0.6608 0.1703
Zr 0.5000 0.4992 0.4992
Bi 0.5000 0.0007 0.0007

***

# 7
Starting from a crystal structure in the Materials Project, relaxed with PBE, the powder diffractogram of Mg14ZrBi was simulated for Cu Kα (λ = 1.5418 Å).
Kinematic intensities with the Lorentz-polarization factor, no thermal factor.

Top 8 peaks for 2θ from 10° to 90°, most intense first:
| 2θ (°) | d [Å] | intensity |
| --- | --- | --- |
| 36.67 | 2.451 | 100 |
| 16.00 | 5.539 | 69 |
| 23.32 | 3.815 | 55 |
| 32.32 | 2.770 | 32 |
| 34.08 | 2.631 | 26 |
| 32.77 | 2.733 | 24 |
| 47.68 | 1.907 | 22 |
| 16.85 | 5.261 | 20 |

Structure:
Lattice parameters (Å, degrees): 6.3963 6.3963 10.5230 90.00 90.00 120.00
Atoms (fractional coordinates):
Mg 0.0000 0.0000 0.2431
Mg 0.0000 0.0000 0.7569
Mg 0.0057 0.5028 0.2427
Mg 0.0057 0.5028 0.7573
Mg 0.3304 0.1652 0.5000
Mg 0.3383 0.1692 0.0000
Mg 0.4972 0.5028 0.2427
Mg 0.4972 0.5028 0.7573
Mg 0.4972 0.9943 0.2427
Mg 0.4972 0.9943 0.7573
Mg 0.8308 0.1692 0.0000
Mg 0.8308 0.6617 0.0000
Mg 0.8348 0.1652 0.5000
Mg 0.8348 0.6696 0.5000
Zr 0.3333 0.6667 0.0000
Bi 0.3333 0.6667 0.5000

***

# 8
Starting from a crystal structure in the Materials Project, relaxed with PBE, the powder diffractogram of Mg6ZrBi was simulated for Cu Kα (λ = 1.5418 Å).
Kinematic intensities with the Lorentz-polarization factor, no thermal factor.

Top 8 peaks for 2θ from 10° to 90°, most intense first:
| 2θ (°) | d [Å] | intensity |
| --- | --- | --- |
| 15.66 | 5.660 | 100 |
| 36.25 | 2.478 | 87 |
| 32.86 | 2.726 | 44 |
| 23.40 | 3.802 | 43 |
| 36.92 | 2.434 | 42 |
| 23.65 | 3.762 | 41 |
| 34.97 | 2.566 | 32 |
| 68.86 | 1.364 | 30 |

Structure:
Lattice parameters (Å, degrees): 5.1311 6.4376 6.4376 61.56 90.00 90.00
Atoms (fractional coordinates):
Mg 0.0000 0.0000 0.0000
Mg 0.0000 0.5039 0.9834
Mg 0.0000 0.9834 0.5039
Mg 0.5000 0.3288 0.8325
Mg 0.5000 0.8302 0.8302
Mg 0.5000 0.8325 0.3288
Zr 0.0000 0.4997 0.4997
Bi 0.5000 0.3320 0.3320

***

# 9
Starting from a crystal structure in the Materials Project, relaxed with PBE, the powder diffractogram of MnBi was simulated for Cu Kα (λ = 1.5418 Å).
Kinematic intensities with the Lorentz-polarization factor, no thermal factor.

Top 8 peaks for 2θ from 10° to 90°, most intense first:
| 2θ (°) | d [Å] | intensity |
| --- | --- | --- |
| 36.15 | 2.485 | 100 |
| 24.92 | 3.573 | 73 |
| 43.89 | 2.063 | 37 |
| 58.12 | 1.587 | 26 |
| 75.59 | 1.258 | 24 |
| 71.16 | 1.325 | 18 |
| 51.59 | 1.771 | 16 |
| 25.77 | 3.457 | 16 |

Structure:
Lattice parameters (Å, degrees): 4.1259 4.1259 6.9141 90.00 90.00 120.00
Atoms (fractional coordinates):
Mn 0.3333 0.6667 0.2500
Mn 0.6667 0.3333 0.7500
Bi 0.0000 0.0000 0.0000
Bi 0.0000 0.0000 0.5000

***

# 10
Starting from a crystal structure in the Materials Project, relaxed with PBE, the powder diffractogram of MnBi was simulated for Cu Kα (λ = 1.5418 Å).
Kinematic intensities with the Lorentz-polarization factor, no thermal factor.

Top 8 peaks for 2θ from 10° to 90°, most intense first:
| 2θ (°) | d [Å] | intensity |
| --- | --- | --- |
| 28.47 | 3.135 | 100 |
| 41.82 | 2.160 | 39 |
| 39.56 | 2.278 | 33 |
| 51.37 | 1.779 | 20 |
| 53.78 | 1.705 | 18 |
| 68.32 | 1.373 | 18 |
| 53.05 | 1.726 | 14 |
| 80.27 | 1.196 | 12 |

Structure:
Lattice parameters (Å, degrees): 4.3197 4.3197 5.7450 90.00 90.00 120.00
Atoms (fractional coordinates):
Mn 0.0000 0.0000 0.0000
Mn 0.0000 0.0000 0.5000
Bi 0.3333 0.6667 0.2500
Bi 0.6667 0.3333 0.7500

***

# 11
Starting from a crystal structure in the Materials Project, relaxed with PBE, the powder diffractogram of MnBi3 was simulated for Cu Kα (λ = 1.5418 Å).
Kinematic intensities with the Lorentz-polarization factor, no thermal factor.

Top 8 peaks for 2θ from 10° to 90°, most intense first:
| 2θ (°) | d [Å] | intensity |
| --- | --- | --- |
| 31.95 | 2.801 | 100 |
| 37.06 | 2.426 | 51 |
| 63.60 | 1.463 | 43 |
| 53.41 | 1.715 | 36 |
| 87.67 | 1.113 | 19 |
| 18.29 | 4.852 | 14 |
| 66.79 | 1.401 | 12 |
| 25.97 | 3.431 | 12 |

Structure:
Lattice parameters (Å, degrees): 4.8519 4.8519 4.8519 90.00 90.00 90.00
Atoms (fractional coordinates):
Mn 0.0000 0.0000 0.0000
Bi 0.0000 0.5000 0.5000
Bi 0.5000 0.0000 0.5000
Bi 0.5000 0.5000 0.0000

***

# 12
Starting from a crystal structure in the Materials Project, relaxed with PBE, the powder diffractogram of MnBi was simulated for Cu Kα (λ = 1.5418 Å).
Kinematic intensities with the Lorentz-polarization factor, no thermal factor.

Top 8 peaks for 2θ from 10° to 90°, most intense first:
| 2θ (°) | d [Å] | intensity |
| --- | --- | --- |
| 28.93 | 3.086 | 100 |
| 32.05 | 2.793 | 29 |
| 41.07 | 2.198 | 23 |
| 35.37 | 2.538 | 22 |
| 42.86 | 2.110 | 21 |
| 39.84 | 2.263 | 21 |
| 40.45 | 2.230 | 20 |
| 23.03 | 3.862 | 18 |

Structure:
Lattice parameters (Å, degrees): 5.5852 4.2202 7.7231 90.00 90.00 90.00
Atoms (fractional coordinates):
Mn 0.0000 0.0000 0.0000
Mn 0.2500 0.5000 0.1194
Mn 0.5000 0.0000 0.0000
Mn 0.7500 0.5000 0.8806
Bi 0.2500 0.0000 0.3445
Bi 0.2500 0.5000 0.7674
Bi 0.7500 0.0000 0.6555
Bi 0.7500 0.5000 0.2326